Entry 1:
Diffraction record for NpTe3. The XRD peak list is computed, not measured: it uses the GGA-PBE geometry in the Materials Project and Cu Kα.
Kinematic intensities with the Lorentz-polarization factor, no thermal factor.

Atomic structure:
a = 4.343 Å, b = 25.243 Å, c = 4.338 Å
α = 90.00°, β = 90.00°, γ = 90.00°
Space group Cmcm (No. 63)
Inequivalent atoms, fractional coordinates:
Np  0.000  0.168  0.250 x4
Te  0.000  0.075  0.750 x4
Te  0.000  0.296  0.250 x4
Te  0.000  0.425  0.750 x4

Top 10 peaks for 2θ from 15° to 90°, by intensity:
Position (°2θ)	I/Imax
31.02	100.0
34.19	88.7
41.62	74.9
28.28	48.7
38.52	46.9
29.31	44.8
51.08	38.0
35.17	26.2
60.31	25.2
38.20	23.0



Entry 2:
Diffraction record for SnSO4. The XRD peak list is computed, not measured: it uses the GGA-PBE geometry in the Materials Project and Cu Kα.
Kinematic intensities with the Lorentz-polarization factor, no thermal factor.

Atomic structure:
a = 5.159 Å, b = 7.408 Å, c = 10.665 Å
α = 99.18°, β = 91.00°, γ = 95.69°
Space group P-1 (No. 2)
Inequivalent atoms, fractional coordinates:
Sn  0.196  0.201  0.363 x2
Sn  0.210  0.225  0.857 x2
S  0.251  0.686  0.408 x2
S  0.287  0.728  0.918 x2
O  0.034  0.796  0.461 x2
O  0.135  0.491  0.371 x2
O  0.144  0.817  0.028 x2
O  0.186  0.531  0.885 x2
O  0.259  0.824  0.808 x2
O  0.348  0.761  0.297 x2
O  0.427  0.257  0.044 x2
O  0.456  0.696  0.509 x2

Top 10 peaks for 2θ from 15° to 90°, by intensity:
Position (°2θ)	I/Imax
23.81	100.0
24.47	83.8
24.64	79.0
31.54	35.5
19.15	34.4
35.11	23.9
40.86	22.3
34.97	22.1
38.23	20.4
34.08	20.0



Entry 3:
Diffraction record for Y4Si2Sn13Sb2O28. The XRD peak list is computed, not measured: it uses the GGA-PBE geometry in the Materials Project and Cu Kα.
Kinematic intensities with the Lorentz-polarization factor, no thermal factor.

Atomic structure:
a = 6.291 Å, b = 27.571 Å, c = 9.806 Å
α = 90.00°, β = 104.34°, γ = 90.00°
Space group C2/m (No. 12)
Inequivalent atoms, fractional coordinates:
Y  0.233  0.210  0.143 x8
Si  0.169  0.500  0.214 x4
Sn  0.000  0.070  0.500 x4
Sn  0.000  0.200  0.500 x4
Sn  0.000  0.500  0.500 x2
Sn  0.230  0.072  0.165 x8
Sn  0.246  0.371  0.159 x8
Sb  0.000  0.357  0.500 x4
O  0.087  0.500  0.765 x4
O  0.100  0.362  0.886 x8
O  0.116  0.223  0.889 x8
O  0.167  0.000  0.623 x4
O  0.170  0.414  0.613 x8
O  0.196  0.309  0.625 x8
O  0.197  0.449  0.137 x8
O  0.242  0.356  0.389 x8

Top 10 peaks for 2θ from 15° to 90°, by intensity:
Position (°2θ)	I/Imax
29.77	100.0
28.18	92.9
30.79	75.9
26.95	46.9
49.25	41.0
30.68	41.0
42.06	40.2
28.46	37.0
33.02	30.4
52.19	29.2



Entry 4:
Diffraction record for Nd2Sn3. The XRD peak list is computed, not measured: it uses the GGA-PBE geometry in the Materials Project and Cu Kα.
Kinematic intensities with the Lorentz-polarization factor, no thermal factor.

Atomic structure:
a = 6.466 Å, b = 8.521 Å, c = 11.249 Å
α = 107.35°, β = 96.76°, γ = 100.13°
Space group P-1 (No. 2)
Inequivalent atoms, fractional coordinates:
Nd  0.041  0.248  0.443 x2
Nd  0.125  0.254  0.884 x2
Nd  0.332  0.532  0.245 x2
Nd  0.444  0.070  0.164 x2
Sn  0.047  0.854  0.880 x2
Sn  0.177  0.537  0.723 x2
Sn  0.222  0.906  0.364 x2
Sn  0.323  0.102  0.640 x2
Sn  0.357  0.665  0.999 x2
Sn  0.438  0.671  0.551 x2

Top 10 peaks for 2θ from 15° to 90°, by intensity:
Position (°2θ)	I/Imax
32.36	100.0
32.57	91.2
32.05	87.7
32.81	80.4
32.25	53.5
35.91	40.2
37.21	37.8
31.78	33.6
31.20	33.4
29.22	28.7



Entry 5:
Diffraction record for BiOF. The XRD peak list is computed, not measured: it uses the GGA-PBE geometry in the Materials Project and Cu Kα.
Kinematic intensities with the Lorentz-polarization factor, no thermal factor.

Atomic structure:
a = 5.677 Å, b = 11.801 Å, c = 11.629 Å
α = 90.00°, β = 90.00°, γ = 90.00°
Space group Pbca (No. 61)
Inequivalent atoms, fractional coordinates:
Bi  0.230  0.031  0.138 x8
Bi  0.245  0.748  0.384 x8
O  0.006  0.131  0.266 x8
O  0.041  0.152  0.021 x8
F  0.020  0.111  0.756 x8
F  0.035  0.117  0.496 x8

Top 10 peaks for 2θ from 15° to 90°, by intensity:
Position (°2θ)	I/Imax
26.64	100.0
44.61	17.1
53.22	15.4
52.22	14.7
44.28	14.2
43.71	14.2
31.52	12.1
30.75	12.1
30.29	9.5
51.63	9.0



Entry 6:
Diffraction record for WN2. The XRD peak list is computed, not measured: it uses the GGA-PBE geometry in the Materials Project and Cu Kα.
Kinematic intensities with the Lorentz-polarization factor, no thermal factor.

Atomic structure:
a = 6.070 Å, b = 8.585 Å, c = 6.071 Å
α = 90.00°, β = 90.00°, γ = 90.00°
Space group Pna2_1 (No. 33)
Inequivalent atoms, fractional coordinates:
W  0.002  0.125  0.000 x4
N  0.000  0.001  0.749 x4
N  0.246  0.748  0.501 x4

Top 10 peaks for 2θ from 15° to 90°, by intensity:
Position (°2θ)	I/Imax
17.90	100.0
29.43	71.4
34.65	37.2
52.20	29.5
46.09	25.3
64.18	18.5
84.44	15.2
55.63	13.7
69.21	12.8
61.06	11.4



Entry 7:
Diffraction record for Mg14VCr. The XRD peak list is computed, not measured: it uses the GGA-PBE geometry in the Materials Project and Cu Kα.
Kinematic intensities with the Lorentz-polarization factor, no thermal factor.

Atomic structure:
a = 10.040 Å, b = 6.349 Å, c = 10.914 Å
α = 90.00°, β = 90.00°, γ = 90.00°
Space group Amm2 (No. 38)
Inequivalent atoms, fractional coordinates:
Mg  0.000  0.000  0.000 x2
Mg  0.000  0.000  0.500 x2
Mg  0.000  0.250  0.251 x4
Mg  0.254  0.000  0.164 x4
Mg  0.254  0.000  0.665 x4
Mg  0.259  0.249  0.920 x8
Mg  0.500  0.249  0.252 x4
V  0.500  0.000  0.001 x2
Cr  0.500  0.000  0.500 x2

Top 10 peaks for 2θ from 15° to 90°, by intensity:
Position (°2θ)	I/Imax
37.35	100.0
37.52	49.1
35.77	37.1
32.63	25.2
70.48	17.9
65.32	17.1
58.48	16.6
49.20	14.8
71.26	13.2
32.82	12.5



Entry 8:
Diffraction record for YSF. The XRD peak list is computed, not measured: it uses the GGA-PBE geometry in the Materials Project and Cu Kα.
Kinematic intensities with the Lorentz-polarization factor, no thermal factor.

Atomic structure:
a = 3.796 Å, b = 3.796 Å, c = 6.885 Å
α = 90.00°, β = 90.00°, γ = 90.00°
Space group P4/nmm (No. 129, origin choice 2)
Inequivalent atoms, fractional coordinates:
Y  0.250  0.250  0.229 x2
S  0.250  0.250  0.643 x2
F  0.250  0.750  0.000 x2

Top 10 peaks for 2θ from 15° to 90°, by intensity:
Position (°2θ)	I/Imax
26.82	100.0
42.72	89.8
33.38	75.4
46.22	51.8
47.93	48.6
25.88	38.6
35.19	37.6
68.78	30.2
55.77	26.6
85.71	21.0